(1)
For ZnFeO2, the GGA+U geometry in Alexandria gives the simulated PXRD pattern in this record (a wavelength of 1.5418 Å).
Neutral-atom scattering factors, no anomalous dispersion.

Cell and atoms:
```
ZnFeO2
1.0
3.1685 0.0000 0.0000
-1.5842 2.7440 0.0000
0.0000 0.0000 5.3169
Zn Fe O
1 1 2
Direct
0.0000 0.0000 0.0000 Zn
0.6667 0.3333 0.5390 Fe
0.0000 0.0000 0.3603 O
0.3333 0.6667 0.8174 O
```

The 10 most intense peaks (10° ≤ 2θ ≤ 90°), in order of rising 2θ:
two_theta  I_rel  (hkl)
16.67  4  0 0 1
32.63  24  1 0 0
33.71  23  0 0 2
36.86  100  1 0 1
47.63  28  1 0 2
58.24  27  1 1 0
62.37  26  0 1 3
69.01  16  1 1 2
70.94  15  0 2 1
78.44  5  0 2 2

***

(2)
For ZnFeO2, the GGA+U geometry in Alexandria gives the simulated PXRD pattern in this record (a wavelength of 1.5418 Å).
Neutral-atom scattering factors, no anomalous dispersion.

Cell and atoms:
```
ZnFeO2
1.0
5.3804 0.0000 0.0000
0.0000 3.0890 0.0000
-1.8474 0.0000 5.0187
Zn Fe O
2 2 4
Direct
0.0000 0.0000 0.0000 Zn
0.0000 0.5000 0.5000 Zn
0.5000 0.0000 0.5000 Fe
0.5000 0.5000 0.0000 Fe
0.2464 0.0247 0.7577 O
0.2464 0.4753 0.2577 O
0.7536 0.5247 0.7423 O
0.7536 0.9753 0.2423 O
```

The 10 most intense peaks (10° ≤ 2θ ≤ 90°), in order of rising 2θ:
two_theta  I_rel  (hkl)
35.53  85  1 1 -1
35.78  28  0 0 2
41.03  52  2 0 -2
41.48  100  1 1 1
59.61  30  3 1 -1
59.90  44  1 1 -3
60.32  15  2 0 2
71.17  8  3 1 -3
71.81  15  0 2 2
75.16  14  2 2 -2

***

(3)
For ZnFe2O5, the GGA+U geometry in Alexandria gives the simulated PXRD pattern in this record (a wavelength of 1.5418 Å).
Neutral-atom scattering factors, no anomalous dispersion.

Cell and atoms:
```
ZnFe2O5
1.0
3.2770 0.0000 0.0000
0.0000 11.8864 0.0000
0.0000 0.0000 5.0734
Zn Fe O
2 4 10
Direct
0.2500 0.2500 0.0663 Zn
0.7500 0.7500 0.9337 Zn
0.2500 0.6042 0.4632 Fe
0.2500 0.8958 0.4632 Fe
0.7500 0.1042 0.5368 Fe
0.7500 0.3958 0.5368 Fe
0.2500 0.0597 0.3626 O
0.2500 0.4403 0.3626 O
0.2500 0.6596 0.1209 O
0.2500 0.7500 0.6333 O
0.2500 0.8404 0.1209 O
0.7500 0.1596 0.8791 O
0.7500 0.2500 0.3667 O
0.7500 0.3404 0.8791 O
0.7500 0.5597 0.6374 O
0.7500 0.9403 0.6374 O
```

The 10 most intense peaks (10° ≤ 2θ ≤ 90°), in order of rising 2θ:
two_theta  I_rel  (hkl)
17.48  30  0 0 1
23.05  100  0 2 1
32.53  29  1 0 1
33.41  86  1 1 1
34.99  51  0 4 1
35.38  29  0 0 2
35.55  50  1 3 0
47.86  29  1 2 2
51.03  40  1 3 2
64.48  36  1 7 1

***

- What is the formula in the third record?
  ZnFe2O5